Structure and simulated powder diffractogram of Ba5V3ClO12 (the PBE+U geometry in Alexandria; Cu Ka).
Lines closer than 0.1° are merged.

Atomic structure:
```
data_Ba5V3ClO12
_chemical_formula_sum 'Ba10 V6 Cl2 O24'
_space_group_name_H-M_alt 'P 63/m'
_space_group_IT_number 176
_space_group_name_Hall '-P 6c'
_cell_length_a 10.7693
_cell_length_b 10.7693
_cell_length_c 7.8377
_cell_angle_alpha 90.00
_cell_angle_beta 90.00
_cell_angle_gamma 120.00
loop_
_atom_site_label
_atom_site_type_symbol
_atom_site_fract_x
_atom_site_fract_y
_atom_site_fract_z
Ba1 Ba 0.0063 0.7513 0.2500
Ba2 Ba 0.3333 0.6667 0.0013
V1 V 0.0340 0.6288 0.7500
Cl1 Cl 0.0000 0.0000 0.0000
O1 O 0.0955 0.7405 0.5729
O2 O 0.1239 0.5307 0.7500
O3 O 0.1529 0.4803 0.2500
```

Largest 10 diffraction maxima, low angle first, 2θ from 10° to 90°:
(hkl), 2θ (°), I_rel
1 2 0, 25.3, 25
1 2 1, 27.7, 100
1 1 2, 28.2, 100
3 0 0, 28.7, 59
2 2 2, 40.7, 42
1 2 3, 43.1, 32
2 3 1, 43.9, 25
4 1 0, 44.5, 22
4 0 2, 45.3, 23
3 0 4, 55.5, 25